Computed powder XRD pattern of YHf2B6 for λ = 1.5418 Å (Cu Kα), from a structure optimized by DFT (PBE).

Atomic structure:
Cell: 5.5372 5.5372 3.5992 Å, 90.00 90.00 120.00°
Space group P6/mmm (No. 191)
Symmetry-distinct sites (fractional):
Y (0.0000, 0.0000, 0.0000)
Hf (0.3333, 0.6667, 0.0000)
B (0.0000, 0.3385, 0.5000)

Largest 10 diffraction maxima, by intensity, 2θ from 5° to 70°:
index  d/Å  I (rel.)
1 1 1  2.194  100.0
1 1 0  2.769  77.7
0 0 1  3.599  43.9
1 1 2  1.509  25.4
3 0 1  1.461  20.8
3 0 0  1.598  20.0
1 0 0  4.795  12.2
0 0 2  1.800  9.8
2 2 0  1.384  9.5
1 0 1  2.879  6.9

Computed powder XRD pattern of Pr3ReC3 for λ = 1.5418 Å (Cu Kα), from a structure optimized by DFT (PBE).

Atomic structure:
Cell: 9.0035 10.9224 5.4607 Å, 90.00 90.00 90.00°
Space group Cmcm (No. 63)
Symmetry-distinct sites (fractional):
Pr (0.0000, 0.1084, 0.2500)
Pr (0.2080, 0.3803, 0.2500)
Re (0.0000, 0.3037, 0.7500)
C (0.0000, 0.1257, 0.7500)
C (0.1975, 0.3735, 0.7500)

Largest 10 diffraction maxima, by intensity, 2θ from 5° to 70°:
index  d/Å  I (rel.)
2 2 1  2.931  100.0
0 0 2  2.730  54.0
1 3 1  2.871  30.9
2 2 3  1.613  22.6
3 1 1  2.557  14.7
3 5 2  1.483  14.5
4 0 2  1.737  14.1
3 5 0  1.766  13.3
4 0 0  2.251  12.6
5 3 1  1.548  11.9

Computed powder XRD pattern of KMnGe2Br8 for λ = 1.5418 Å (Cu Kα), from a structure optimized by DFT (PBE).

Atomic structure:
Cell: 6.3872 7.7953 9.0669 Å, 97.91 93.54 108.48°
Space group P-1 (No. 2)
Symmetry-distinct sites (fractional):
K (0.0000, 0.0000, 0.0000)
Mn (0.0000, 0.0000, 0.5000)
Ge (0.3000, 0.6693, 0.6698)
Br (0.0554, 0.7511, 0.3360)
Br (0.2787, 0.2704, 0.3360)
Br (0.3117, 0.7023, 0.9442)
Br (0.3193, 0.0222, 0.6798)

Largest 10 diffraction maxima, by intensity, 2θ from 5° to 70°:
index  d/Å  I (rel.)
0 0 3  2.975  100.0
0 0 1  8.924  79.8
-2 1 1  3.036  78.8
1 1 -2  3.278  65.8
1 1 1  3.466  57.8
1 -2 1  3.549  56.9
-1 2 2  2.720  50.1
2 -1 2  2.532  49.3
0 1 1  5.236  44.6
3 0 0  2.006  44.5

Computed powder XRD pattern of BaAg2 for λ = 1.5418 Å (Cu Kα), from a structure optimized by DFT (PBE).

Atomic structure:
Cell: 8.2076 8.2076 5.3350 Å, 90.00 90.00 120.00°
Space group P-62m (No. 189)
Symmetry-distinct sites (fractional):
Ba (0.0000, 0.0000, 0.0000)
Ba (0.3333, 0.6667, 0.5000)
Ag (0.0000, 0.2197, 0.5000)
Ag (0.0000, 0.4086, 0.0000)

Largest 10 diffraction maxima, by intensity, 2θ from 5° to 70°:
index  d/Å  I (rel.)
2 1 1  2.400  100.0
2 0 1  2.958  95.2
1 1 0  4.104  68.7
0 0 2  2.667  43.0
1 1 2  2.237  26.8
3 0 0  2.369  22.6
3 2 1  1.559  22.5
2 1 3  1.483  21.1
3 0 2  1.771  18.4
1 1 1  3.253  18.1